Starting from a cell relaxed with GGA+U, the X-ray diffraction stick pattern of MgCrPtO2 was computed for copper Kα.
Intensities are scaled so that the largest is 100.

Cell and atoms:
```
MgCrPtO2
1.0
2.951 0.000 0.000
1.473 2.560 0.000
1.447 0.800 8.194
Mg Cr Pt O
1 1 1 2
Direct
0.000 0.000 0.000
0.888 0.875 0.335
0.415 0.414 0.755
0.274 0.260 0.177
0.516 0.506 0.450
```

The 12 most intense peaks (2θ from 5° to 70°), low angle first:
- 10.80°, I = 100, hkl 0 0 1
- 21.69°, I = 59, hkl 0 0 2
- 32.79°, I = 23, hkl 0 0 3
- 35.25°, I = 18, hkl 0 1 0
- 35.86°, I = 84, hkl 0 1 1
- 37.98°, I = 13, hkl 0 1 -1
- 38.11°, I = 13, hkl 1 0 -1
- 38.22°, I = 13, hkl 1 1 2
- 39.68°, I = 18, hkl 1 1 -1
- 46.16°, I = 11, hkl 1 0 3
- 46.30°, I = 12, hkl 0 1 3
- 62.90°, I = 14, hkl 1 -1 0